Structure and computed X-ray powder pattern of NaBeInAu3 (a GGA-PBE-relaxed structure; CuKα).
Intensities are scaled so that the largest is 1000.

Main lines, in order of rising 2θ (2θ = 10–80°):
| 2θ/deg | Rel. int. |
| --- | --- |
| 12.66 | 276 |
| 25.64 | 507 |
| 26.51 | 272 |
| 31.47 | 304 |
| 33.17 | 408 |
| 34.04 | 243 |
| 37.07 | 1000 |
| 39.65 | 212 |
| 44.90 | 209 |
| 46.74 | 175 |

Atomic structure:
a b c (Å): 7.6335 7.6335 5.9501
angles (deg): 96.78 96.78 132.67
Sites, in units of the cell vectors:
Na (0.2361, 0.7639, 0.7500)
Na (0.7639, 0.2361, 0.2500)
Be (0.0068, 0.9932, 0.2500)
Be (0.9932, 0.0068, 0.7500)
In (0.3737, 0.6263, 0.2500)
In (0.6263, 0.3737, 0.7500)
Au (0.1784, 0.8216, 0.2500)
Au (0.2229, 0.3322, 0.5682)
Au (0.3322, 0.2229, 0.0682)
Au (0.6678, 0.7771, 0.9318)
Au (0.7771, 0.6678, 0.4318)
Au (0.8216, 0.1784, 0.7500)

Structure and computed X-ray powder pattern of Na4InHg4 (a GGA-PBE-relaxed structure; CuKα).
Intensities are scaled so that the largest is 1000.

Main lines, in order of rising 2θ (2θ = 10–80°):
| 2θ/deg | Rel. int. |
| --- | --- |
| 13.71 | 558 |
| 20.34 | 571 |
| 24.61 | 335 |
| 26.50 | 510 |
| 30.95 | 741 |
| 31.55 | 310 |
| 33.08 | 394 |
| 37.51 | 1000 |
| 38.65 | 311 |
| 59.44 | 455 |

Atomic structure:
a b c (Å): 9.1365 9.1365 5.9218
angles (deg): 90.00 90.00 90.00
Sites, in units of the cell vectors:
Na (0.0778, 0.8278, 0.1082)
Na (0.1722, 0.5778, 0.6082)
Na (0.3278, 0.9222, 0.6082)
Na (0.4222, 0.6722, 0.1082)
Na (0.5778, 0.3278, 0.8918)
Na (0.6722, 0.0778, 0.3918)
Na (0.8278, 0.4222, 0.3918)
Na (0.9222, 0.1722, 0.8918)
In (0.2500, 0.2500, 0.7500)
In (0.7500, 0.7500, 0.2500)
Hg (0.0486, 0.1494, 0.3825)
Hg (0.1494, 0.4514, 0.1175)
Hg (0.3506, 0.0486, 0.1175)
Hg (0.4514, 0.3506, 0.3825)
Hg (0.5486, 0.6494, 0.6175)
Hg (0.6494, 0.9514, 0.8825)
Hg (0.8506, 0.5486, 0.8825)
Hg (0.9514, 0.8506, 0.6175)

Structure and computed X-ray powder pattern of Ho3Ga2Ni9 (a GGA-PBE-relaxed structure; CuKα).
Intensities are scaled so that the largest is 1000.

Main lines, in order of rising 2θ (2θ = 10–80°):
| 2θ/deg | Rel. int. |
| --- | --- |
| 24.63 | 192 |
| 31.51 | 352 |
| 36.14 | 214 |
| 37.92 | 1000 |
| 38.33 | 368 |
| 38.57 | 466 |
| 41.44 | 244 |
| 43.64 | 291 |
| 45.59 | 430 |
| 61.04 | 187 |

Atomic structure:
a b c (Å): 7.7171 7.7171 7.7171
angles (deg): 150.11 111.87 76.14
Sites, in units of the cell vectors:
Ho (0.0000, 0.0000, 0.0000)
Ho (0.3023, 0.3023, 0.0000)
Ho (0.6977, 0.6977, 0.0000)
Ga (0.2870, 0.5000, 0.7870)
Ga (0.7130, 0.5000, 0.2130)
Ni (0.0320, 0.6797, 0.3523)
Ni (0.1575, 0.8808, 0.2767)
Ni (0.3273, 0.6797, 0.6477)
Ni (0.3959, 0.1192, 0.2767)
Ni (0.5000, 0.0000, 0.5000)
Ni (0.6041, 0.8808, 0.7233)
Ni (0.6727, 0.3203, 0.3523)
Ni (0.8425, 0.1192, 0.7233)
Ni (0.9680, 0.3203, 0.6477)

Structure and computed X-ray powder pattern of Na2Pa2CuS6 (a GGA-PBE-relaxed structure; CuKα).
Intensities are scaled so that the largest is 1000.

Main lines, in order of rising 2θ (2θ = 10–80°):
| 2θ/deg | Rel. int. |
| --- | --- |
| 13.20 | 1000 |
| 17.87 | 175 |
| 25.35 | 379 |
| 26.80 | 216 |
| 30.45 | 592 |
| 33.22 | 230 |
| 34.05 | 121 |
| 39.88 | 177 |
| 44.63 | 180 |
| 46.72 | 182 |

Atomic structure:
a b c (Å): 7.1402 7.1402 6.9693
angles (deg): 97.21 97.21 125.16
Sites, in units of the cell vectors:
Na (0.1510, 0.8490, 0.0000)
Na (0.8490, 0.1510, 0.0000)
Pa (0.3399, 0.6601, 0.5000)
Pa (0.6601, 0.3399, 0.5000)
Cu (0.0000, 0.0000, 0.5000)
S (0.0533, 0.4420, 0.7292)
S (0.2334, 0.2334, 0.3131)
S (0.4420, 0.0533, 0.7292)
S (0.5580, 0.9467, 0.2708)
S (0.7666, 0.7666, 0.6869)
S (0.9467, 0.5580, 0.2708)

Structure and computed X-ray powder pattern of K3RbHg8 (a GGA-PBE-relaxed structure; CuKα).
Intensities are scaled so that the largest is 1000.

Main lines, in order of rising 2θ (2θ = 10–80°):
| 2θ/deg | Rel. int. |
| --- | --- |
| 15.88 | 478 |
| 17.90 | 319 |
| 29.60 | 317 |
| 32.38 | 776 |
| 33.16 | 1000 |
| 33.31 | 343 |
| 36.26 | 554 |
| 40.97 | 354 |
| 53.79 | 300 |
| 67.76 | 398 |

Atomic structure:
a b c (Å): 6.4462 6.4462 10.7600
angles (deg): 90.00 90.00 120.00
Sites, in units of the cell vectors:
K (0.0000, 0.0000, 0.0000)
K (0.0000, 0.0000, 0.3720)
K (0.3333, 0.6667, 0.8764)
Rb (0.3333, 0.6667, 0.4996)
Hg (0.0079, 0.5039, 0.1844)
Hg (0.3236, 0.1618, 0.6895)
Hg (0.4961, 0.5039, 0.1844)
Hg (0.4961, 0.9921, 0.1844)
Hg (0.6667, 0.3333, 0.4365)
Hg (0.6667, 0.3333, 0.9348)
Hg (0.8382, 0.1618, 0.6895)
Hg (0.8382, 0.6764, 0.6895)

Structure and computed X-ray powder pattern of Ba3P2Au3 (a GGA-PBE-relaxed structure; CuKα).
Intensities are scaled so that the largest is 1000.

Main lines, in order of rising 2θ (2θ = 10–80°):
| 2θ/deg | Rel. int. |
| --- | --- |
| 21.38 | 418 |
| 26.26 | 836 |
| 29.28 | 549 |
| 29.53 | 448 |
| 30.35 | 1000 |
| 31.57 | 440 |
| 33.60 | 356 |
| 36.27 | 406 |
| 39.48 | 496 |
| 40.83 | 421 |

Atomic structure:
a b c (Å): 6.4876 6.4876 17.6508
angles (deg): 90.00 90.00 140.17
Sites, in units of the cell vectors:
Ba (0.1119, 0.8881, 0.7500)
Ba (0.3644, 0.6356, 0.5870)
Ba (0.3644, 0.6356, 0.9130)
Ba (0.6356, 0.3644, 0.0870)
Ba (0.6356, 0.3644, 0.4130)
Ba (0.8881, 0.1119, 0.2500)
P (0.3562, 0.6438, 0.1051)
P (0.3562, 0.6438, 0.3949)
P (0.6438, 0.3562, 0.6051)
P (0.6438, 0.3562, 0.8949)
Au (0.0832, 0.9168, 0.5604)
Au (0.0832, 0.9168, 0.9396)
Au (0.1657, 0.8343, 0.2500)
Au (0.8343, 0.1657, 0.7500)
Au (0.9168, 0.0832, 0.0604)
Au (0.9168, 0.0832, 0.4396)